Structure and calculated powder XRD pattern of NbTc2Ge (DFT lattice parameters and positions (PBE); Cu Ka).
Intensities are scaled so that the largest is 100.

Most intense lines, 10° ≤ 2θ ≤ 90°, in order of rising 2θ:
2theta	d/Å	I (rel.)
24.6	3.613	1
28.5	3.129	1
40.8	2.213	100
59.0	1.565	16
74.2	1.278	33
88.3	1.106	11

Structure:
```
data_NbTc2Ge
_chemical_formula_sum 'Nb6 Tc12 Ge6'
_symmetry_space_group_name_H-M 'P n n m'
_symmetry_Int_Tables_number 58
_cell_length_a 4.426
_cell_length_b 13.276
_cell_length_c 6.259
_cell_angle_alpha 90.00
_cell_angle_beta 90.00
_cell_angle_gamma 90.00
loop_
_symmetry_equiv_pos_as_xyz
'x,y,z'
'-x,-y,-z'
'-x,-y,z'
'x,y,-z'
'x+1/2,-y+1/2,-z+1/2'
'-x+1/2,y+1/2,z+1/2'
'-x+1/2,y+1/2,-z+1/2'
'x+1/2,-y+1/2,z+1/2'
loop_
_atom_site_label
_atom_site_type_symbol
_atom_site_fract_x
_atom_site_fract_y
_atom_site_fract_z
_atom_site_occupancy
Nb1 Nb 0.000 0.000 0.000 1
Nb2 Nb 0.001 0.333 0.000 1
Tc1 Tc 0.000 0.167 0.250 1
Tc2 Tc 0.000 0.500 0.250 1
Ge1 Ge 0.000 0.000 0.500 1
Ge2 Ge 0.001 0.667 0.500 1
```